Entry 1:
For BaSr2N2, the PBE geometry in the Materials Project gives the calculated X-ray diffraction stick pattern in this record (Cu Ka).
Neutral-atom scattering factors, no anomalous dispersion.

Atomic structure:
```
BaSr2N2
1.0
4.0177 0.0000 0.0000
-2.0088 3.4794 0.0000
0.0000 0.0000 9.6410
Ba Sr N
1 2 2
Direct
0.0000 0.0000 0.0000
0.3333 0.6667 0.3038
0.6667 0.3333 0.6962
0.3333 0.6667 0.8028
0.6667 0.3333 0.1972
```

Main lines, sorted by position (15 to 90 degrees two-theta):
2θ (°)  Rel. int.  index
27.2  100  0 1 1
27.8  27  0 0 3
31.7  99  1 0 2
45.1  36  1 1 0
45.8  25  0 1 4
53.5  16  2 0 1
53.8  26  1 1 3
54.4  16  1 0 5
56.2  18  0 2 2
74.8  16  2 1 2

***

Entry 2:
For BaSr2N2, the PBE geometry in the Materials Project gives the calculated X-ray diffraction stick pattern in this record (Cu Ka).
Neutral-atom scattering factors, no anomalous dispersion.

Atomic structure:
```
BaSr2N2
1.0
4.0458 0.0000 0.0000
0.0000 15.3685 0.0000
0.0000 0.0000 3.8344
Ba Sr N
2 4 4
Direct
0.2500 0.2500 0.0210
0.7500 0.7500 0.9790
0.2500 0.5699 0.2615
0.2500 0.9301 0.2615
0.7500 0.0699 0.7385
0.7500 0.4301 0.7385
0.2500 0.0987 0.3209
0.2500 0.4013 0.3209
0.7500 0.5987 0.6791
0.7500 0.9013 0.6791
```

Main lines, sorted by position (15 to 90 degrees two-theta):
2θ (°)  Rel. int.  index
26.0  33  0 2 1
28.1  100  1 3 0
29.1  32  0 3 1
32.2  45  1 0 1
32.7  30  1 1 1
35.0  35  0 6 0
36.8  22  1 3 1
48.3  21  1 6 1
53.2  23  1 1 2
61.4  20  1 5 2

***

Q: What is the formula in the second record?
A: BaSr2N2

***

Copy entry 1 word for word.
For BaSr2N2, the PBE geometry in the Materials Project gives the calculated X-ray diffraction stick pattern in this record (Cu Ka).
Neutral-atom scattering factors, no anomalous dispersion.

Atomic structure:
```
BaSr2N2
1.0
4.0177 0.0000 0.0000
-2.0088 3.4794 0.0000
0.0000 0.0000 9.6410
Ba Sr N
1 2 2
Direct
0.0000 0.0000 0.0000
0.3333 0.6667 0.3038
0.6667 0.3333 0.6962
0.3333 0.6667 0.8028
0.6667 0.3333 0.1972
```

Main lines, sorted by position (15 to 90 degrees two-theta):
2θ (°)  Rel. int.  index
27.2  100  0 1 1
27.8  27  0 0 3
31.7  99  1 0 2
45.1  36  1 1 0
45.8  25  0 1 4
53.5  16  2 0 1
53.8  26  1 1 3
54.4  16  1 0 5
56.2  18  0 2 2
74.8  16  2 1 2

***

Q: What is the formula in the first record?
A: BaSr2N2